Structure and simulated powder diffraction line list of Co21B6Sb2 (the GGA-PBE geometry in OQMD; Cu Kα (λ = 1.5418 Å)).

Structure:
Cell lengths 10.5516, 10.5516, 10.5516 Å; angles 90.00, 90.00, 90.00 degrees
Space group Fm-3m (No. 225)
Asymmetric unit:
1 Co 0.0000 0.0000 0.0000
2 Co 0.0000 0.1670 0.1670
3 Co 0.1163 0.1163 0.3837
4 B 0.0000 0.0000 0.2768
5 Sb 0.2500 0.2500 0.2500

Largest 10 diffraction maxima, in order of rising 2θ, 5 to 70 degrees two-theta:
(hkl)	Position (°2θ)	I/Imax
2 0 0	16.8	7
2 2 0	23.9	6
4 2 0	38.1	52
4 2 2	41.9	52
3 3 3	44.6	100
4 4 0	48.8	30
5 3 1	51.2	26
6 0 0	52.0	6
6 2 0	55.0	8
6 2 2	58.0	14

Structure and simulated powder diffraction line list of Ag2S (the GGA-PBE geometry in OQMD; Cu Kα (λ = 1.5418 Å)).

Structure:
Cell lengths 6.2905, 6.2905, 6.2905 Å; angles 90.00, 90.00, 90.00 degrees
Space group F-43m (No. 216)
Asymmetric unit:
1 Ag 0.0000 0.0000 0.0000
2 Ag 0.2500 0.2500 0.2500
3 S 0.2500 0.2500 0.7500

Largest 8 diffraction maxima, in order of rising 2θ, 5 to 70 degrees two-theta:
(hkl)	Position (°2θ)	I/Imax
1 1 1	24.5	73
2 0 0	28.4	2
2 2 0	40.6	100
3 1 1	48.0	35
2 2 2	50.2	1
4 0 0	58.7	16
3 3 1	64.6	14
4 2 0	66.5	1

Structure and simulated powder diffraction line list of Cu4Ag (the GGA-PBE geometry in OQMD; Cu Kα (λ = 1.5418 Å)).

Structure:
Cell lengths 3.7451, 18.5993, 3.7472 Å; angles 90.00, 90.00, 90.00 degrees
Space group Cmmm (No. 65)
Asymmetric unit:
1 Cu 0.0000 0.0000 0.0000
2 Cu 0.0000 0.1013 0.5000
3 Cu 0.0000 0.2041 0.0000
4 Cu 0.0000 0.2961 0.5000
5 Cu 0.0000 0.5000 0.5000
6 Ag 0.0000 0.3982 0.0000

Largest 10 diffraction maxima, in order of rising 2θ, 5 to 70 degrees two-theta:
(hkl)	Position (°2θ)	I/Imax
0 4 0	19.1	1
0 0 1	23.7	1
1 1 0	24.2	2
0 6 0	28.8	1
0 4 1	30.6	1
1 5 0	34.0	1
1 1 1	34.2	2
1 5 1	41.9	100
2 0 0	48.6	32
0 10 0	49.0	15

Structure and simulated powder diffraction line list of Tm3Cu2Ni7 (the GGA-PBE geometry in OQMD; Cu Kα (λ = 1.5418 Å)).

Structure:
Cell lengths 4.9605, 4.9605, 24.0526 Å; angles 90.00, 90.00, 120.00 degrees
Space group R-3m (No. 166, hexagonal axes)
Asymmetric unit:
1 Tm 0.0000 0.0000 0.0000
2 Tm 0.0000 0.0000 0.1392
3 Cu 0.0000 0.0000 0.3337
4 Ni 0.0000 0.0000 0.5000
5 Ni 0.0025 0.5013 0.9164

Largest 10 diffraction maxima, in order of rising 2θ, 5 to 70 degrees two-theta:
(hkl)	Position (°2θ)	I/Imax
1 0 7	33.4	49
1 1 0	36.2	59
0 1 8	36.5	41
0 2 1	42.2	40
1 1 6	42.9	100
2 0 5	46.3	15
2 1 7	63.4	16
1 2 8	65.3	14
3 0 6	69.7	22
1 1 15	69.9	16

Structure and simulated powder diffraction line list of Hf2AlGaAg2 (the GGA-PBE geometry in OQMD; Cu Kα (λ = 1.5418 Å)).

Structure:
Cell lengths 10.8641, 4.4354, 10.8653 Å; angles 90.00, 109.49, 90.00 degrees
Space group Pm (No. 6)
Asymmetric unit:
1 Hf 0.0000 0.0000 0.0000
2 Hf 0.1234 0.5000 0.3783
3 Hf 0.2485 0.0000 0.7523
4 Hf 0.3742 0.5000 0.1242
5 Hf 0.5009 0.0000 0.5030
6 Hf 0.6251 0.5000 0.8769
7 Hf 0.7489 0.0000 0.2516
8 Hf 0.8753 0.5000 0.6274
9 Al 0.2494 0.0000 0.2519
10 Al 0.3745 0.5000 0.6265
11 Al 0.6240 0.5000 0.3765
12 Al 0.8750 0.5000 0.1267
13 Ga 0.9996 0.0000 0.5015
14 Ga 0.1247 0.5000 0.8772
15 Ga 0.4998 0.0000 0.0018
16 Ga 0.7495 0.0000 0.7520
17 Ag 0.1246 0.5000 0.1287
18 Ag 0.2514 0.0000 0.5024
19 Ag 0.3747 0.5000 0.8741
20 Ag 0.4987 0.0000 0.2529
21 Ag 0.6242 0.5000 0.6260
22 Ag 0.7514 0.0000 0.0032
23 Ag 0.8723 0.5000 0.3757
24 Ag 0.9991 0.0000 0.7509

Largest 9 diffraction maxima, in order of rising 2θ, 5 to 70 degrees two-theta:
(hkl)	Position (°2θ)	I/Imax
0 0 1	8.6	1
1 1 1	24.6	62
2 0 2	28.5	14
4 1 0	40.7	100
5 0 1	48.1	31
2 2 2	50.4	4
4 0 4	58.9	17
5 2 1	64.8	12
6 1 2	66.7	6

Structure and simulated powder diffraction line list of Y2Ho2BICl4 (the GGA-PBE geometry in OQMD; Cu Kα (λ = 1.5418 Å)).

Structure:
Cell lengths 17.1679, 3.8974, 8.4839 Å; angles 90.00, 104.17, 90.00 degrees
Space group C2/m (No. 12)
Asymmetric unit:
1 Y 0.1487 0.0000 0.0786
2 Ho 0.0000 0.5000 0.1970
3 B 0.0000 0.0000 0.0000
4 I 0.0000 0.0000 0.5000
5 Cl 0.1668 0.5000 0.3111
6 Cl 0.1714 0.5000 0.8572

Largest 10 diffraction maxima, in order of rising 2θ, 5 to 70 degrees two-theta:
(hkl)	Position (°2θ)	I/Imax
2 0 0	10.6	100
0 0 1	10.8	29
4 0 0	21.4	20
3 1 -1	28.6	22
1 1 -2	31.2	80
3 1 1	31.5	23
6 0 0	32.3	40
3 1 -2	33.0	19
5 1 2	45.5	48
0 2 0	46.6	16

Structure and simulated powder diffraction line list of NiAgAu (the GGA-PBE geometry in OQMD; Cu Kα (λ = 1.5418 Å)).

Structure:
Cell lengths 3.2698, 3.2698, 19.1881 Å; angles 90.00, 90.00, 90.00 degrees
Space group I4/mmm (No. 139)
Asymmetric unit:
1 Ni 0.0000 0.0000 0.0584
2 Ag 0.0000 0.0000 0.2059
3 Au 0.0000 0.0000 0.3839

Largest 10 diffraction maxima, in order of rising 2θ, 5 to 70 degrees two-theta:
(hkl)	Position (°2θ)	I/Imax
0 0 4	18.5	32
1 0 1	27.7	8
1 0 3	30.7	8
1 0 5	36.1	100
1 1 0	39.0	80
1 0 7	43.1	47
1 1 4	43.4	16
1 0 9	51.1	18
2 0 0	56.3	27
2 1 5	68.7	30

Structure and simulated powder diffraction line list of Tb2YSn3Pb4 (the GGA-PBE geometry in OQMD; Cu Kα (λ = 1.5418 Å)).

Structure:
Cell lengths 4.4993, 26.8485, 4.5928 Å; angles 90.00, 90.00, 90.00 degrees
Space group Cmmm (No. 65)
Asymmetric unit:
1 Tb 0.0000 0.1931 0.0000
2 Y 0.0000 0.5000 0.5000
3 Sn 0.0000 0.0000 0.0000
4 Sn 0.0000 0.2889 0.5000
5 Pb 0.0000 0.0982 0.5000
6 Pb 0.0000 0.4027 0.0000

Largest 10 diffraction maxima, in order of rising 2θ, 5 to 70 degrees two-theta:
(hkl)	Position (°2θ)	I/Imax
1 5 1	32.5	100
0 10 0	33.4	21
0 0 2	39.2	16
2 0 0	40.1	15
0 10 2	52.4	12
2 10 0	53.1	12
2 0 2	57.3	10
1 15 1	59.1	15
1 5 3	66.9	13
3 5 1	68.0	24

Structure and simulated powder diffraction line list of YTmAlIr2 (the GGA-PBE geometry in OQMD; Cu Kα (λ = 1.5418 Å)).

Structure:
Cell lengths 4.0855, 5.8250, 8.4658 Å; angles 90.00, 90.00, 90.00 degrees
Space group Imm2 (No. 44)
Asymmetric unit:
1 Y 0.0000 0.0000 0.0000
2 Tm 0.0000 0.0000 0.6035
3 Al 0.0000 0.5000 0.8020
4 Ir 0.0000 0.2599 0.3015

Largest 10 diffraction maxima, in order of rising 2θ, 5 to 70 degrees two-theta:
(hkl)	Position (°2θ)	I/Imax
0 0 2	21.0	21
1 0 1	24.2	56
1 1 0	26.7	25
1 1 2	34.2	42
0 2 2	37.5	74
1 0 3	38.8	70
1 2 1	39.5	100
2 0 0	44.3	33
2 2 2	59.4	39
1 2 5	68.0	38

Structure and simulated powder diffraction line list of Pr2SnBrCl (the GGA-PBE geometry in OQMD; Cu Kα (λ = 1.5418 Å)).

Structure:
Cell lengths 4.4324, 4.4324, 10.4072 Å; angles 90.00, 90.00, 120.00 degrees
Space group P3m1 (No. 156)
Asymmetric unit:
1 Pr 0.0000 0.0000 0.0000
2 Pr 0.3333 0.6667 0.6436
3 Sn 0.6667 0.3333 0.8209
4 Br 0.0000 0.0000 0.4775
5 Cl 0.3333 0.6667 0.1419

Largest 10 diffraction maxima, in order of rising 2θ, 5 to 70 degrees two-theta:
(hkl)	Position (°2θ)	I/Imax
0 0 1	8.5	66
0 1 1	24.7	29
0 1 2	28.9	100
1 0 3	34.9	21
1 1 0	40.7	39
1 0 4	41.9	37
2 0 2	50.7	21
0 2 4	59.9	13
1 2 2	67.0	18
1 1 6	68.7	15

Structure and simulated powder diffraction line list of Na4Au3 (the GGA-PBE geometry in OQMD; Cu Kα (λ = 1.5418 Å)).

Structure:
Cell lengths 9.1755, 6.2219, 11.3654 Å; angles 90.00, 100.89, 90.00 degrees
Space group C2/c (No. 15)
Asymmetric unit:
1 Na 0.0391 0.2427 0.0145
2 Na 0.1836 0.4852 0.8075
3 Au 0.0000 0.0530 0.7500
4 Au 0.2338 0.0726 0.4244

Largest 10 diffraction maxima, in order of rising 2θ, 5 to 70 degrees two-theta:
(hkl)	Position (°2θ)	I/Imax
1 1 0	17.3	45
1 1 1	19.8	30
1 1 -2	22.3	100
2 0 -2	22.9	55
0 2 0	28.7	26
2 2 -2	37.0	25
0 2 3	37.7	30
1 1 4	38.4	47
3 1 2	39.4	43
3 1 -4	42.4	41

Structure and simulated powder diffraction line list of Cu9Ag (the GGA-PBE geometry in OQMD; Cu Kα (λ = 1.5418 Å)).

Structure:
Cell lengths 4.4910, 4.4972, 6.8601 Å; angles 102.57, 108.66, 99.64 degrees
Space group P-1 (No. 2)
Asymmetric unit:
1 Cu 0.0000 0.0000 0.0000
2 Cu 0.2041 0.5964 0.1932
3 Cu 0.2072 0.1069 0.7100
4 Cu 0.3924 0.1823 0.3935
5 Cu 0.4068 0.7053 0.9059
6 Ag 0.0000 0.5000 0.5000

Largest 10 diffraction maxima, in order of rising 2θ, 5 to 70 degrees two-theta:
(hkl)	Position (°2θ)	I/Imax
1 0 -1	21.0	2
1 0 0	21.6	1
-1 1 1	28.8	1
0 1 -2	30.3	1
-1 1 2	37.6	1
1 1 1	42.5	50
1 -2 0	42.6	100
2 0 -2	42.8	50
2 -1 1	49.5	31
1 2 -2	49.7	61

Structure and simulated powder diffraction line list of GaAu17 (the GGA-PBE geometry in OQMD; Cu Kα (λ = 1.5418 Å)).

Structure:
Cell lengths 5.7609, 5.7609, 35.7171 Å; angles 90.00, 90.00, 120.00 degrees
Space group P-3m1 (No. 164)
Asymmetric unit:
1 Ga 0.3333 0.6667 0.2791
2 Au 0.0000 0.0000 0.0000
3 Au 0.0000 0.0000 0.2083
4 Au 0.0000 0.5000 0.0000
5 Au 0.0009 0.5004 0.2088
6 Au 0.1665 0.3330 0.1389
7 Au 0.1665 0.3330 0.7201
8 Au 0.1667 0.3333 0.9305
9 Au 0.3333 0.6667 0.0696
10 Au 0.3333 0.6667 0.8611

Largest 10 diffraction maxima, in order of rising 2θ, 5 to 70 degrees two-theta:
(hkl)	Position (°2θ)	I/Imax
0 0 4	9.9	11
0 0 14	35.2	38
2 0 4	37.4	51
0 0 15	37.8	21
2 0 5	38.2	100
2 0 6	39.2	10
0 2 9	42.8	52
0 2 10	44.3	55
2 0 19	61.8	26
2 2 0	64.7	34